(1)
Calculated XRD peak list of BaSbAu for Cu Kα X-rays, from the PBE geometry in the Materials Project.
Neutral-atom scattering factors, no anomalous dispersion.

Cell and atoms:
a = 4.8456 Å, b = 4.8456 Å, c = 9.4783 Å
α = 90.00°, β = 90.00°, γ = 120.00°
Space group P6_3/mmc (No. 194)
Symmetry-distinct sites (fractional):
Ba1 0.0000 0.0000 0.0000
Sb1 0.3333 0.6667 0.2500
Au1 0.3333 0.6667 0.7500

Top 6 peaks for 2θ = 5–70°, in order of rising 2θ:
2theta, I_rel
28.4, 100.0
37.1, 59.1
38.0, 18.5
47.4, 24.5
54.1, 39.7
61.7, 22.3

(2)
Calculated XRD peak list of Al11Re4 for Cu Kα X-rays, from the PBE geometry in the Materials Project.
Neutral-atom scattering factors, no anomalous dispersion.

Cell and atoms:
a = 5.1783 Å, b = 5.1908 Å, c = 9.0030 Å
α = 105.20°, β = 90.09°, γ = 99.75°
Space group P-1 (No. 2)
Symmetry-distinct sites (fractional):
Al1 0.0000 0.0000 0.0000
Al2 0.0629 0.1829 0.3275
Al3 0.1452 0.4595 0.8721
Al4 0.1883 0.7243 0.3686
Al5 0.4303 0.6775 0.6231
Al6 0.4984 0.9031 0.1290
Re1 0.2839 0.1537 0.6034
Re2 0.3372 0.3881 0.1319

Top 6 peaks for 2θ = 5–70°, in order of rising 2θ:
2theta, I_rel
18.2, 58.4
22.8, 100.0
23.4, 91.0
26.3, 74.5
27.6, 69.3
40.1, 57.8

(3)
Calculated XRD peak list of BaEu2PtO5 for Cu Kα X-rays, from the PBE geometry in the Materials Project.
Neutral-atom scattering factors, no anomalous dispersion.

Cell and atoms:
a = 6.8162 Å, b = 6.8162 Å, c = 5.9743 Å
α = 90.00°, β = 90.00°, γ = 90.00°
Space group P-4b2 (No. 117)
Symmetry-distinct sites (fractional):
Ba1 0.0000 0.0000 0.0000
Eu1 0.1780 0.3220 0.5000
Pt1 0.0000 0.5000 0.0000
O1 0.0000 0.0000 0.5000
O2 0.1384 0.6434 0.2457

Top 6 peaks for 2θ = 5–70°, in order of rising 2θ:
2theta, I_rel
29.9, 34.9
30.2, 100.0
33.0, 30.8
37.3, 24.5
42.4, 22.7
48.5, 22.5